Computed PXRD pattern of Eu3BWO9 for Cu Kα (λ = 1.5418 Å), from a crystal structure in Alexandria, relaxed with PBE+U.
Intensities are scaled so that the largest is 100.

Most intense lines, 2θ from 10° to 80°, in order of falling intensity:
| hkl | two_theta | d/Å | I_rel |
| --- | --- | --- | --- |
| 1 1 1 | 25.6 | 3.483 | 100 |
| 2 0 1 | 28.1 | 3.176 | 76 |
| 3 0 2 | 48.1 | 1.890 | 38 |
| 2 3 1 | 54.2 | 1.693 | 37 |
| 3 0 0 | 34.7 | 2.582 | 31 |
| 2 1 1 | 34.6 | 2.590 | 27 |
| 2 1 2 | 45.0 | 2.014 | 22 |
| 0 0 2 | 32.3 | 2.775 | 20 |
| 2 1 0 | 30.5 | 2.928 | 19 |
| 5 0 1 | 62.2 | 1.492 | 18 |

Cell and atoms:
a b c (Å): 8.9457 8.9457 5.5495
angles (deg): 90.00 90.00 120.00
Atoms (fractional coordinates):
1 Eu 0.0700 0.3612 0.0000
2 Eu 0.2912 0.9300 0.0000
3 Eu 0.3612 0.2912 0.5000
4 Eu 0.6388 0.7088 0.0000
5 Eu 0.7088 0.0700 0.5000
6 Eu 0.9300 0.6388 0.5000
7 B 0.0000 0.0000 0.2078
8 B 0.0000 0.0000 0.7078
9 W 0.3333 0.6667 0.5287
10 W 0.6667 0.3333 0.0287
11 O 0.0869 0.1781 0.7043
12 O 0.0913 0.9131 0.7043
13 O 0.1343 0.5999 0.7444
14 O 0.1781 0.0913 0.2043
15 O 0.2061 0.7398 0.3243
16 O 0.2602 0.4663 0.3243
17 O 0.4001 0.5344 0.7444
18 O 0.4663 0.2061 0.8243
19 O 0.4656 0.8657 0.7444
20 O 0.5344 0.1343 0.2444
21 O 0.5337 0.7939 0.3243
22 O 0.5999 0.4656 0.2444
23 O 0.7398 0.5337 0.8243
24 O 0.7939 0.2602 0.8243
25 O 0.8219 0.9087 0.7043
26 O 0.8657 0.4001 0.2444
27 O 0.9087 0.0869 0.2043
28 O 0.9131 0.8219 0.2043